This entry pairs a crystal structure of MnNiMoO with its computed PXRD pattern. Radiation: copper Kα. Structure: a GGA+U-relaxed structure.

Atomic structure:
```
data_MnNiMoO
_cell_length_a 10.0179
_cell_length_b 3.9981
_cell_length_c 3.0421
_cell_angle_alpha 90.00
_cell_angle_beta 107.56
_cell_angle_gamma 90.00
_space_group_name_H-M_alt 'C 1 m 1'
_space_group_IT_number 8
_space_group_name_Hall 'C -2y'
loop_
_atom_site_label
_atom_site_type_symbol
_atom_site_fract_x
_atom_site_fract_y
_atom_site_fract_z
_atom_site_occupancy
Mn1 Mn 0.0000 0.0000 0.0000 1
Ni1 Ni 0.1406 0.5000 0.6411 1
Mo1 Mo 0.3450 0.0000 0.3457 1
O1 O 0.1879 0.0000 0.6894 1
```

Main lines, sorted by position (2θ = 15–90°):
Position (°2θ), I_rel, (hkl)
24.13, 25, 1 1 0
36.06, 100, 3 1 0
37.14, 100, 1 1 -1
41.04, 91, 2 0 1
45.37, 37, 0 2 0
53.93, 14, 3 1 1
57.93, 11, 6 0 0
60.91, 14, 2 0 -2
62.82, 47, 2 2 1
72.80, 12, 1 1 2
72.93, 12, 5 1 -2
79.12, 13, 2 2 -2


This entry pairs a crystal structure of MnMoO2 with its computed PXRD pattern. Radiation: copper Kα. Structure: a GGA+U-relaxed structure.

Atomic structure:
```
data_MnMoO2
_cell_length_a 3.3669
_cell_length_b 3.3669
_cell_length_c 17.7929
_cell_angle_alpha 90.00
_cell_angle_beta 90.00
_cell_angle_gamma 120.00
_space_group_name_H-M_alt 'R -3 m'
_space_group_IT_number 166
_space_group_name_Hall '-R 3 2"'
loop_
_atom_site_label
_atom_site_type_symbol
_atom_site_fract_x
_atom_site_fract_y
_atom_site_fract_z
_atom_site_occupancy
Mn1 Mn 0.0000 0.0000 0.0000 1
Mo1 Mo 0.0000 0.0000 0.5000 1
O1 O 0.0000 0.0000 0.1103 1
```

Main lines, sorted by position (2θ = 15–90°):
Position (°2θ), I_rel, (hkl)
30.14, 29, 0 0 6
32.31, 100, 0 1 2
36.86, 41, 1 0 4
39.97, 11, 0 1 5
51.69, 30, 0 1 8
54.51, 27, 1 1 0
61.00, 18, 1 0 10
63.55, 20, 1 1 6
64.80, 12, 2 0 2
78.44, 8, 2 0 8
87.71, 9, 1 1 12
89.64, 10, 1 2 2


This entry pairs a crystal structure of Mn2Mo3O8 with its computed PXRD pattern. Radiation: copper Kα. Structure: a GGA+U-relaxed structure.

Atomic structure:
```
data_Mn2Mo3O8
_cell_length_a 5.9021
_cell_length_b 5.9021
_cell_length_c 10.4375
_cell_angle_alpha 90.00
_cell_angle_beta 90.00
_cell_angle_gamma 120.00
_space_group_name_H-M_alt 'P 63 m c'
_space_group_IT_number 186
_space_group_name_Hall 'P 6c -2c'
loop_
_atom_site_label
_atom_site_type_symbol
_atom_site_fract_x
_atom_site_fract_y
_atom_site_fract_z
_atom_site_occupancy
Mn1 Mn 0.3333 0.6667 0.0000 1
Mn2 Mn 0.3333 0.6667 0.4357 1
Mo1 Mo 0.1458 0.2917 0.7350 1
O1 O 0.0000 0.0000 0.3737 1
O2 O 0.0260 0.5130 0.8444 1
O3 O 0.1647 0.3294 0.1209 1
O4 O 0.3333 0.6667 0.6334 1
```

Main lines, sorted by position (2θ = 15–90°):
Position (°2θ), I_rel, (hkl)
16.99, 94, 0 0 2
24.38, 100, 1 0 2
31.10, 37, 1 0 3
34.93, 73, 1 1 2
35.11, 26, 2 0 0
36.19, 87, 2 0 1
43.96, 52, 2 0 3
49.95, 28, 2 0 4
54.32, 38, 2 1 3
56.85, 22, 3 0 2
56.96, 60, 2 0 5
63.00, 35, 2 2 0